Diffraction record for Pr2SiGe. The powder XRD pattern is calculated, not measured: it uses a cell relaxed with PBE and a wavelength of 1.5418 Å.

The 12 most intense peaks (2θ = 10–90°), by angle:
| hkl | 2θ (°) | I (rel.) |
| --- | --- | --- |
| 1 0 1 | 26.58 | 28 |
| 1 1 1 | 28.69 | 100 |
| 1 2 0 | 30.82 | 95 |
| 0 1 2 | 31.64 | 99 |
| 1 2 1 | 34.32 | 73 |
| 0 3 1 | 35.60 | 63 |
| 1 1 2 | 38.87 | 71 |
| 2 0 0 | 44.85 | 36 |
| 0 4 1 | 46.10 | 27 |
| 1 3 2 | 50.09 | 29 |
| 2 1 2 | 55.92 | 39 |
| 2 3 1 | 58.53 | 31 |

Atomic structure:
abc: 4.0418 8.3354 6.0115
angles: 90.00 90.00 90.00
Atoms (fractional coordinates):
Pr  0.0000  0.0682  0.0000
Pr  0.0000  0.5715  0.7322
Pr  0.5000  0.4285  0.2322
Pr  0.5000  0.9318  0.5000
Si  0.0000  0.2132  0.4869
Si  0.5000  0.7868  0.9869
Ge  0.0000  0.7131  0.2430
Ge  0.5000  0.2869  0.7430